1.
Diffraction record for Ac2La2N3. The XRD peak list is theoretical, not measured: it uses a structure optimized by DFT (GGA-PBE) and CuKα.
No peak broadening, texture or thermal motion is included.

The 12 most intense peaks (5° ≤ 2θ ≤ 70°), in order of rising 2θ:
2θ = 17.66°, 5.022 Å, I 10, (2 0 -1); 2θ = 27.98°, 3.189 Å, I 33, (2 0 -2); 2θ = 28.60°, 3.121 Å, I 100, (1 1 1); 2θ = 32.53°, 2.752 Å, I 30, (2 0 2); 2θ = 33.18°, 2.700 Å, I 56, (3 1 -1); 2θ = 46.74°, 1.943 Å, I 19, (1 1 -3); 2θ = 47.56°, 1.912 Å, I 21, (5 1 1); 2θ = 47.99°, 1.896 Å, I 13, (0 2 0); 2θ = 55.65°, 1.651 Å, I 10, (3 1 3); 2θ = 56.51°, 1.629 Å, I 19, (2 2 -2); 2θ = 56.84°, 1.620 Å, I 10, (4 2 0); 2θ = 59.21°, 1.561 Å, I 16, (2 2 2)

Crystal structure
```
data_Ac2La2N3
_symmetry_space_group_name_H-M 'C 1 2/m 1'
_symmetry_Int_Tables_number 12
_symmetry_space_group_name_Hall '-C 2y'
_cell_length_a 12.6730
_cell_length_b 3.7906
_cell_length_c 6.7909
_cell_angle_alpha 90.00
_cell_angle_beta 100.11
_cell_angle_gamma 90.00
loop_
_atom_site_label
_atom_site_type_symbol
_atom_site_fract_x
_atom_site_fract_y
_atom_site_fract_z
_atom_site_occupancy
Ac1 Ac 0.1321 0.0000 0.3549 1
La1 La 0.1274 0.5000 0.8907 1
N1 N 0.0000 0.0000 0.0000 1
N2 N 0.2402 0.5000 0.2288 1
```

***

2.
Diffraction record for AcLaNpN4. The XRD peak list is theoretical, not measured: it uses a structure optimized by DFT (GGA-PBE) and CuKα.
No peak broadening, texture or thermal motion is included.

The 12 most intense peaks (5° ≤ 2θ ≤ 70°), in order of rising 2θ:
2θ = 13.50°, 6.561 Å, I 14, (0 0 2); 2θ = 29.29°, 3.049 Å, I 100, (1 0 3); 2θ = 29.71°, 3.007 Å, I 58, (1 1 0); 2θ = 40.39°, 2.233 Å, I 12, (1 0 5); 2θ = 41.28°, 2.187 Å, I 11, (0 0 6); 2θ = 42.52°, 2.126 Å, I 26, (2 0 0); 2θ = 51.69°, 1.769 Å, I 19, (1 1 6); 2θ = 52.47°, 1.744 Å, I 42, (2 1 3); 2θ = 60.76°, 1.524 Å, I 13, (2 0 6); 2θ = 61.70°, 1.503 Å, I 9, (2 2 0); 2θ = 69.75°, 1.348 Å, I 9, (3 0 3); 2θ = 69.97°, 1.345 Å, I 10, (3 1 0)

Crystal structure
```
data_AcLaNpN4
_symmetry_space_group_name_H-M 'I 4 m m'
_symmetry_Int_Tables_number 107
_symmetry_space_group_name_Hall 'I 4 -2'
_cell_length_a 4.2519
_cell_length_b 4.2519
_cell_length_c 13.1215
_cell_angle_alpha 90.00
_cell_angle_beta 90.00
_cell_angle_gamma 90.00
loop_
_atom_site_label
_atom_site_type_symbol
_atom_site_fract_x
_atom_site_fract_y
_atom_site_fract_z
_atom_site_occupancy
Ac1 Ac 0.0000 0.0000 0.0000 1
La1 La 0.0000 0.0000 0.2950 1
Np1 Np 0.0000 0.0000 0.6488 1
N1 N 0.0000 0.0000 0.4777 1
N2 N 0.0000 0.0000 0.8119 1
N3 N 0.0000 0.5000 0.1511 1
```

***

3.
Diffraction record for Ac3LaPa2N6. The XRD peak list is theoretical, not measured: it uses a structure optimized by DFT (GGA-PBE) and CuKα.
No peak broadening, texture or thermal motion is included.

The 12 most intense peaks (5° ≤ 2θ ≤ 70°), in order of rising 2θ:
2θ = 11.19°, 7.910 Å, I 2, (2 0 0); 2θ = 12.17°, 7.271 Å, I 1, (0 0 1); 2θ = 28.81°, 3.099 Å, I 36, (4 0 -2); 2θ = 29.54°, 3.024 Å, I 100, (2 0 2); 2θ = 34.03°, 2.634 Å, I 89, (1 1 -2); 2θ = 48.42°, 1.880 Å, I 32, (7 1 -2); 2θ = 49.36°, 1.846 Å, I 31, (0 2 0); 2θ = 57.32°, 1.607 Å, I 18, (10 0 -2); 2θ = 58.16°, 1.586 Å, I 33, (9 1 0); 2θ = 58.58°, 1.576 Å, I 16, (8 0 2); 2θ = 59.68°, 1.549 Å, I 6, (8 0 -4); 2θ = 61.31°, 1.512 Å, I 16, (6 2 0)

Crystal structure
```
data_Ac3LaPa2N6
_symmetry_space_group_name_H-M 'C 1 2/m 1'
_symmetry_Int_Tables_number 12
_symmetry_space_group_name_Hall '-C 2y'
_cell_length_a 16.3607
_cell_length_b 3.6905
_cell_length_c 7.5195
_cell_angle_alpha 90.00
_cell_angle_beta 104.76
_cell_angle_gamma 90.00
loop_
_atom_site_label
_atom_site_type_symbol
_atom_site_fract_x
_atom_site_fract_y
_atom_site_fract_z
_atom_site_occupancy
Ac1 Ac 0.0000 0.0000 0.0000 1
Ac2 Ac 0.1676 0.5000 0.3360 1
La1 La 0.0000 0.0000 0.5000 1
Pa1 Pa 0.1679 0.5000 0.8317 1
N1 N 0.0254 0.5000 0.7558 1
N2 N 0.1647 0.0000 0.6279 1
N3 N 0.1793 0.0000 0.0478 1
```

***

4.
Diffraction record for AcLa2PrN4. The XRD peak list is theoretical, not measured: it uses a structure optimized by DFT (GGA-PBE) and CuKα.
No peak broadening, texture or thermal motion is included.

The 12 most intense peaks (5° ≤ 2θ ≤ 70°), in order of rising 2θ:
2θ = 14.35°, 6.173 Å, I 5, (1 0 0); 2θ = 16.58°, 5.347 Å, I 2, (1 0 -1); 2θ = 23.54°, 3.779 Å, I 1, (1 0 1); 2θ = 27.68°, 3.223 Å, I 3, (0 1 1); 2θ = 28.93°, 3.086 Å, I 100, (2 0 0); 2θ = 33.53°, 2.673 Å, I 73, (1 1 1); 2θ = 36.64°, 2.453 Å, I 2, (1 0 2); 2θ = 48.15°, 1.890 Å, I 52, (2 0 2); 2θ = 50.51°, 1.807 Å, I 1, (2 1 -3); 2θ = 57.16°, 1.612 Å, I 47, (3 1 1); 2θ = 59.94°, 1.543 Å, I 13, (0 0 4); 2θ = 59.99°, 1.542 Å, I 4, (4 0 0)

Crystal structure
```
data_AcLa2PrN4
_symmetry_space_group_name_H-M 'P 1 2/m 1'
_symmetry_Int_Tables_number 10
_symmetry_space_group_name_Hall '-P 2y'
_cell_length_a 6.5429
_cell_length_b 3.7776
_cell_length_c 6.5536
_cell_angle_alpha 90.00
_cell_angle_beta 109.49
_cell_angle_gamma 90.00
loop_
_atom_site_label
_atom_site_type_symbol
_atom_site_fract_x
_atom_site_fract_y
_atom_site_fract_z
_atom_site_occupancy
Ac1 Ac 0.0000 0.0000 0.0000 1
La1 La 0.5000 0.0000 0.5000 1
La2 La 0.5000 0.5000 0.0000 1
Pr1 Pr 0.0000 0.5000 0.5000 1
N1 N 0.2519 0.0000 0.7464 1
N2 N 0.2555 0.5000 0.2574 1
```

***

5.
Diffraction record for AcLaPuN4. The XRD peak list is theoretical, not measured: it uses a structure optimized by DFT (GGA-PBE) and CuKα.
No peak broadening, texture or thermal motion is included.

The 12 most intense peaks (5° ≤ 2θ ≤ 70°), in order of rising 2θ:
2θ = 13.49°, 6.562 Å, I 14, (0 0 2); 2θ = 29.38°, 3.040 Å, I 100, (1 0 3); 2θ = 29.89°, 2.989 Å, I 57, (1 1 0); 2θ = 40.45°, 2.230 Å, I 12, (1 0 5); 2θ = 41.27°, 2.187 Å, I 11, (0 0 6); 2θ = 42.78°, 2.114 Å, I 26, (2 0 0); 2θ = 51.79°, 1.765 Å, I 19, (1 1 6); 2θ = 52.75°, 1.735 Å, I 41, (2 1 3); 2θ = 60.34°, 1.534 Å, I 8, (2 1 5); 2θ = 60.96°, 1.520 Å, I 13, (2 0 6); 2θ = 62.11°, 1.495 Å, I 8, (2 2 0); 2θ = 68.01°, 1.378 Å, I 5, (1 0 9)

Crystal structure
```
data_AcLaPuN4
_symmetry_space_group_name_H-M 'I 4 m m'
_symmetry_Int_Tables_number 107
_symmetry_space_group_name_Hall 'I 4 -2'
_cell_length_a 4.2271
_cell_length_b 4.2271
_cell_length_c 13.1239
_cell_angle_alpha 90.00
_cell_angle_beta 90.00
_cell_angle_gamma 90.00
loop_
_atom_site_label
_atom_site_type_symbol
_atom_site_fract_x
_atom_site_fract_y
_atom_site_fract_z
_atom_site_occupancy
Ac1 Ac 0.0000 0.0000 0.0000 1
La1 La 0.0000 0.0000 0.2946 1
Pu1 Pu 0.0000 0.0000 0.6488 1
N1 N 0.0000 0.0000 0.4776 1
N2 N 0.0000 0.0000 0.8113 1
N3 N 0.0000 0.5000 0.1508 1
```

***

6.
Diffraction record for Ac2LaPuN4. The XRD peak list is theoretical, not measured: it uses a structure optimized by DFT (GGA-PBE) and CuKα.
No peak broadening, texture or thermal motion is included.

The 12 most intense peaks (5° ≤ 2θ ≤ 70°), in order of rising 2θ:
2θ = 15.25°, 5.809 Å, I 20, (0 2 1); 2θ = 27.13°, 3.287 Å, I 43, (0 0 4); 2θ = 27.55°, 3.238 Å, I 33, (0 4 0); 2θ = 28.37°, 3.146 Å, I 100, (1 1 2); 2θ = 32.27°, 2.774 Å, I 29, (1 1 3); 2θ = 32.45°, 2.759 Å, I 23, (1 3 1); 2θ = 34.59°, 2.593 Å, I 71, (1 3 2); 2θ = 36.89°, 2.437 Å, I 24, (0 2 5); 2θ = 47.24°, 1.924 Å, I 22, (1 3 5); 2θ = 47.51°, 1.914 Å, I 16, (1 5 3); 2θ = 48.84°, 1.865 Å, I 17, (2 0 0); 2θ = 62.75°, 1.481 Å, I 14, (2 2 5)

Crystal structure
```
data_Ac2LaPuN4
_symmetry_space_group_name_H-M 'C m c m'
_symmetry_Int_Tables_number 63
_symmetry_space_group_name_Hall '-C 2c 2'
_cell_length_a 3.7295
_cell_length_b 12.9513
_cell_length_c 13.1492
_cell_angle_alpha 90.00
_cell_angle_beta 90.00
_cell_angle_gamma 90.00
loop_
_atom_site_label
_atom_site_type_symbol
_atom_site_fract_x
_atom_site_fract_y
_atom_site_fract_z
_atom_site_occupancy
Ac1 Ac 0.0000 0.1267 0.0381 1
La1 La 0.0000 0.4073 0.2500 1
Pu1 Pu 0.0000 0.3207 0.7500 1
N1 N 0.0000 0.0680 0.2500 1
N2 N 0.0000 0.2014 0.6375 1
N3 N 0.0000 0.5000 0.0000 1
```